# 1
# Pm4Dy6Ho
Simulated powder XRD pattern, copper Kα. Input: DFT lattice parameters and positions (PBE).
Lines closer than 0.1° are merged.

Crystal structure
a = 8.520 Å, b = 8.520 Å, c = 8.520 Å
α = 126.71°, β = 126.71°, γ = 78.73°
Atoms (fractional coordinates):
Pm 0.249 0.249 0.652
Pm 0.403 0.751 0.000
Pm 0.597 0.597 0.348
Pm 0.751 0.403 0.000
Dy 0.000 0.500 0.500
Dy 0.054 0.577 0.000
Dy 0.423 0.423 0.477
Dy 0.500 0.000 0.500
Dy 0.577 0.054 0.000
Dy 0.946 0.946 0.523
Ho 0.000 0.000 0.000

Top 12 peaks for 5° ≤ 2θ ≤ 70°, by angle:
d (Å)  intensity
6.589  24
3.820  22
3.306  100
2.812  93
2.700  88
2.498  53
2.269  21
1.948  26
1.653  47
1.512  24
1.461  12
1.441  14



# 2
# ErThB2O8
Simulated powder XRD pattern, copper Kα. Input: DFT lattice parameters and positions (PBE).
Lines closer than 0.1° are merged.

Crystal structure
a = 6.612 Å, b = 6.612 Å, c = 6.612 Å
α = 138.25°, β = 138.25°, γ = 60.53°
Atoms (fractional coordinates):
Er 0.000 0.000 0.000
Th 0.750 0.250 0.500
B 0.250 0.750 0.500
B 0.500 0.500 0.000
O 0.076 0.724 0.158
O 0.082 0.924 0.648
O 0.189 0.320 0.644
O 0.276 0.434 0.352
O 0.455 0.811 0.131
O 0.566 0.918 0.842
O 0.676 0.545 0.356
O 0.680 0.324 0.869

Top 12 peaks for 5° ≤ 2θ ≤ 70°, by angle:
d (Å)  intensity
4.356  97
2.962  31
2.878  100
2.855  22
2.356  22
2.073  40
2.056  23
1.844  32
1.817  27
1.653  19
1.442  25
1.439  12



# 3
# Tl2Mo9Se11
Simulated powder XRD pattern, copper Kα. Input: DFT lattice parameters and positions (PBE).
Lines closer than 0.1° are merged.

Crystal structure
a = 13.488 Å, b = 13.488 Å, c = 13.488 Å
α = 42.60°, β = 42.60°, γ = 42.60°
Atoms (fractional coordinates):
Tl 0.169 0.169 0.169
Tl 0.268 0.268 0.268
Tl 0.732 0.732 0.732
Tl 0.831 0.831 0.831
Mo 0.045 0.865 0.183
Mo 0.135 0.817 0.955
Mo 0.183 0.045 0.865
Mo 0.260 0.391 0.570
Mo 0.307 0.624 0.479
Mo 0.376 0.521 0.693
Mo 0.391 0.570 0.260
Mo 0.430 0.740 0.609
Mo 0.479 0.307 0.624
Mo 0.521 0.693 0.376
Mo 0.570 0.260 0.391
Mo 0.609 0.430 0.740
Mo 0.624 0.479 0.307
Mo 0.693 0.376 0.521
Mo 0.740 0.609 0.430
Mo 0.817 0.955 0.135
Mo 0.865 0.183 0.045
Mo 0.955 0.135 0.817
Se 0.004 0.651 0.264
Se 0.086 0.086 0.086
Se 0.088 0.706 0.442
Se 0.168 0.449 0.786
Se 0.214 0.832 0.551
Se 0.264 0.004 0.651
Se 0.294 0.558 0.912
Se 0.349 0.736 0.996
Se 0.352 0.352 0.352
Se 0.442 0.088 0.706
Se 0.449 0.786 0.168
Se 0.551 0.214 0.832
Se 0.558 0.912 0.294
Se 0.648 0.648 0.648
Se 0.651 0.264 0.004
Se 0.706 0.442 0.088
Se 0.736 0.996 0.349
Se 0.786 0.168 0.449
Se 0.832 0.551 0.214
Se 0.912 0.294 0.558
Se 0.914 0.914 0.914
Se 0.996 0.349 0.736

Top 12 peaks for 5° ≤ 2θ ≤ 70°, by angle:
d (Å)  intensity
7.703  44
4.899  53
3.160  48
3.136  56
2.829  63
2.334  38
2.313  31
2.216  29
2.147  24
2.100  100
1.682  24
1.414  27



# 4
# Tb5DyTm5
Simulated powder XRD pattern, copper Kα. Input: DFT lattice parameters and positions (PBE).
Lines closer than 0.1° are merged.

Crystal structure
a = 6.801 Å, b = 6.893 Å, c = 8.249 Å
α = 76.00°, β = 76.67°, γ = 72.26°
Atoms (fractional coordinates):
Tb 0.000 0.000 0.000
Tb 0.156 0.134 0.358
Tb 0.322 0.271 0.655
Tb 0.678 0.729 0.345
Tb 0.844 0.866 0.642
Dy 0.000 0.500 0.000
Tm 0.212 0.639 0.311
Tm 0.353 0.751 0.719
Tm 0.500 0.000 0.000
Tm 0.647 0.249 0.281
Tm 0.788 0.361 0.689

Top 12 peaks for 5° ≤ 2θ ≤ 70°, by angle:
d (Å)  intensity
2.927  10
2.809  41
2.797  68
2.761  100
2.748  15
2.717  51
2.629  43
2.614  17
2.018  15
1.948  12
1.863  16
1.608  17